# 1
NpTeS4: calculated powder diffractogram (λ = 1.5418 Å (Cu Kα)), based on a GGA-PBE-relaxed structure.

Principal peaks in the range 2θ from 10° to 90°, by angle:
two_theta	d (Å)	I/Imax	h k l
13.6	6.522	100	2 0 0
26.0	3.426	37	1 1 -1
29.4	3.043	34	0 0 2
29.5	3.027	52	3 1 -1
38.0	2.370	27	2 0 2
38.2	2.357	23	5 1 -1
45.9	1.978	23	0 2 0
48.0	1.895	17	1 1 -3

Crystal structure
Unit cell a=14.6765 b=3.9582 c=6.8500 alpha=90.00 beta=117.27 gamma=90.00
Space group C2/m (No. 12)
Asymmetric unit:
Np1 0.0000 0.0000 0.0000 x2
Te1 0.0000 0.5000 0.5000 x2
S1 0.1077 0.5000 0.9374 x4
S2 0.1104 0.0000 0.4418 x4

---

# 2
NdSm2Ga: calculated powder diffractogram (λ = 1.5418 Å (Cu Kα)), based on a GGA-PBE-relaxed structure.

Principal peaks in the range 2θ from 10° to 90°, by angle:
two_theta	d (Å)	I/Imax	h k l
29.3	3.048	100	1 1 2
30.4	2.945	61	1 3 0
31.9	2.807	57	1 3 1
32.4	2.761	55	0 2 3
35.3	2.546	30	0 4 2
36.5	2.458	32	1 1 3
42.2	2.141	29	2 0 0
54.2	1.692	26	2 2 3

Crystal structure
Unit cell a=4.2811 b=12.1716 c=9.2965 alpha=90.00 beta=90.00 gamma=90.00
Space group Cmcm (No. 63)
Asymmetric unit:
Nd1 0.0000 0.0600 0.2500 x4
Sm1 0.0000 0.3560 0.0543 x8
Ga1 0.0000 0.2528 0.7500 x4

---

# 3
BaPtS: calculated powder diffractogram (λ = 1.5418 Å (Cu Kα)), based on a GGA-PBE-relaxed structure.

Principal peaks in the range 2θ from 10° to 90°, by angle:
two_theta	d (Å)	I/Imax	h k l
20.7	4.293	43	1 0 0
21.0	4.228	45	1 0 1
30.2	2.964	47	1 1 0
33.6	2.670	56	0 1 -2
33.7	2.659	54	1 0 -2
34.6	2.594	46	1 0 3
34.7	2.584	45	0 1 3
40.9	2.207	100	2 0 1

Crystal structure
Unit cell a=4.4148 b=4.4155 c=8.6289 alpha=77.00 beta=76.56 gamma=89.66
Space group P1 (No. 1)
Asymmetric unit:
Ba1 0.0000 0.0000 0.0000 x1
Ba2 0.2303 0.7766 0.4996 x1
Pt1 0.6421 0.1962 0.6918 x1
Pt2 0.8144 0.3622 0.3075 x1
S1 0.3561 0.4003 0.2166 x1
S2 0.6025 0.6559 0.7823 x1